Computed X-ray powder pattern
Compound: Fe2MoC10Se2O10
Radiation: Cu Ka
Structure: a structure optimized by DFT (PBE+U)

a b c (Å): 6.889 9.510 13.828
angles (deg): 81.86 82.23 85.43
Space group P-1 (No. 2)
One atom of each set of equivalent atoms:
Fe: 0.144 0.173 0.134 [2 per cell]
Fe: 0.214 0.497 0.227 [2 per cell]
Mo: 0.105 0.226 0.334 [2 per cell]
C: 0.048 0.635 0.275 [2 per cell]
C: 0.074 0.655 0.573 [2 per cell]
C: 0.075 0.914 0.877 [2 per cell]
C: 0.137 0.892 0.637 [2 per cell]
C: 0.199 0.249 0.010 [2 per cell]
C: 0.227 0.022 0.359 [2 per cell]
C: 0.273 0.584 0.106 [2 per cell]
C: 0.290 0.251 0.435 [2 per cell]
C: 0.291 0.007 0.132 [2 per cell]
C: 0.414 0.550 0.285 [2 per cell]
Se: 0.053 0.625 0.812 [2 per cell]
Se: 0.400 0.279 0.197 [2 per cell]
O: 0.052 0.272 0.697 [2 per cell]
O: 0.175 0.591 0.518 [2 per cell]
O: 0.212 0.970 0.887 [2 per cell]
O: 0.232 0.299 0.928 [2 per cell]
O: 0.274 0.959 0.623 [2 per cell]
O: 0.290 0.906 0.377 [2 per cell]
O: 0.307 0.638 0.025 [2 per cell]
O: 0.383 0.900 0.130 [2 per cell]
O: 0.395 0.268 0.490 [2 per cell]
O: 0.459 0.416 0.679 [2 per cell]

Most intense lines, 5° ≤ 2θ ≤ 70°, sorted by position:
| d/Å | I_rel | h k l |
| --- | --- | --- |
| 8.255 | 100 | 0 1 1 |
| 7.289 | 62 | 0 1 -1 |
| 6.799 | 72 | 0 0 2 |
| 6.421 | 38 | 1 0 1 |
| 5.804 | 26 | 1 0 -1 |
| 3.066 | 26 | 0 1 -4 |
| 2.945 | 20 | -1 2 3 |
| 2.842 | 17 | 2 2 0 |
| 2.179 | 18 | 1 4 3 |
| 2.127 | 18 | 3 2 1 |

Computed X-ray powder pattern
Compound: NdFeC6N6O5
Radiation: Cu Ka
Structure: a structure optimized by DFT (PBE+U)

a b c (Å): 7.446 13.184 7.956
angles (deg): 90.00 117.88 90.00
Space group P2_1/m (No. 11)
One atom of each set of equivalent atoms:
Nd: 0.178 0.250 0.354 [2 per cell]
Fe: 0.500 0.000 0.000 [2 per cell]
C: 0.257 0.582 0.884 [4 per cell]
C: 0.374 0.082 0.117 [4 per cell]
C: 0.382 0.080 0.766 [4 per cell]
N: 0.112 0.633 0.811 [4 per cell]
N: 0.304 0.132 0.192 [4 per cell]
N: 0.312 0.129 0.627 [4 per cell]
O: 0.080 0.750 0.163 [2 per cell]
O: 0.101 0.750 0.489 [2 per cell]
O: 0.134 0.667 0.270 [4 per cell]
O: 0.391 0.750 0.486 [2 per cell]

Most intense lines, 5° ≤ 2θ ≤ 70°, sorted by position:
| d/Å | I_rel | h k l |
| --- | --- | --- |
| 6.592 | 28 | 0 2 0 |
| 6.205 | 29 | 0 1 1 |
| 5.888 | 63 | 1 1 0 |
| 4.809 | 70 | 0 2 1 |
| 4.657 | 100 | 1 2 -1 |
| 3.967 | 46 | 1 0 -2 |
| 3.724 | 27 | 2 0 -1 |
| 2.746 | 23 | 0 3 2 |
| 2.634 | 25 | 2 3 -2 |
| 2.535 | 31 | 1 4 -2 |

Computed X-ray powder pattern
Compound: SmFeC6N6O4
Radiation: Cu Ka
Structure: a structure optimized by DFT (PBE+U)

a b c (Å): 7.349 13.262 13.682
angles (deg): 90.00 90.00 90.00
Space group Cmcm (No. 63)
One atom of each set of equivalent atoms:
Sm: 0.000 0.172 0.250 [4 per cell]
Fe: 0.000 0.500 0.000 [4 per cell]
C: 0.000 0.372 0.069 [8 per cell]
C: 0.185 0.449 0.588 [16 per cell]
N: 0.000 0.299 0.117 [8 per cell]
N: 0.208 0.085 0.143 [16 per cell]
O: 0.000 0.182 0.676 [8 per cell]
O: 0.139 0.208 0.750 [8 per cell]

Most intense lines, 5° ≤ 2θ ≤ 70°, sorted by position:
| d/Å | I_rel | h k l |
| --- | --- | --- |
| 6.841 | 27 | 0 0 2 |
| 5.967 | 41 | 0 2 1 |
| 5.818 | 68 | 1 1 1 |
| 4.761 | 71 | 0 2 2 |
| 4.685 | 100 | 1 1 2 |
| 3.788 | 54 | 1 3 0 |
| 3.314 | 26 | 1 3 2 |
| 2.909 | 21 | 2 2 2 |
| 2.627 | 29 | 2 2 3 |
| 2.539 | 38 | 1 3 4 |

Computed X-ray powder pattern
Compound: Na5Fe2P2C2O14
Radiation: Cu Ka
Structure: a structure optimized by DFT (PBE+U)

a b c (Å): 8.427 8.500 9.002
angles (deg): 89.79 89.20 76.61
Space group P-1 (No. 2)
One atom of each set of equivalent atoms:
Na: 0.001 0.230 0.076 [2 per cell]
Na: 0.115 0.380 0.738 [2 per cell]
Na: 0.361 0.120 0.266 [2 per cell]
Na: 0.378 0.618 0.732 [2 per cell]
Na: 0.496 0.741 0.087 [2 per cell]
Fe: 0.224 0.018 0.645 [2 per cell]
Fe: 0.260 0.496 0.343 [2 per cell]
P: 0.021 0.730 0.585 [2 per cell]
P: 0.482 0.775 0.423 [2 per cell]
C: 0.242 0.506 0.052 [2 per cell]
C: 0.269 0.994 0.927 [2 per cell]
O: 0.058 0.197 0.563 [2 per cell]
O: 0.090 0.856 0.675 [2 per cell]
O: 0.107 0.321 0.312 [2 per cell]
O: 0.134 0.601 0.135 [2 per cell]
O: 0.155 0.105 0.865 [2 per cell]
O: 0.162 0.581 0.551 [2 per cell]
O: 0.234 0.515 0.909 [2 per cell]
O: 0.290 0.987 0.066 [2 per cell]
O: 0.336 0.923 0.462 [2 per cell]
O: 0.359 0.402 0.117 [2 per cell]
O: 0.359 0.888 0.835 [2 per cell]
O: 0.392 0.161 0.675 [2 per cell]
O: 0.424 0.650 0.326 [2 per cell]
O: 0.444 0.298 0.430 [2 per cell]

Most intense lines, 5° ≤ 2θ ≤ 70°, sorted by position:
| d/Å | I_rel | h k l |
| --- | --- | --- |
| 9.001 | 89 | 0 0 1 |
| 4.549 | 42 | 1 -1 1 |
| 4.515 | 39 | -1 1 1 |
| 3.430 | 28 | 1 -1 2 |
| 3.321 | 100 | 2 2 0 |
| 2.687 | 62 | 2 2 2 |
| 2.658 | 36 | 3 1 -1 |
| 2.623 | 61 | 2 -2 0 |
| 2.614 | 23 | 1 -1 3 |
| 1.660 | 26 | 4 4 0 |